# 1
Calculated powder diffractogram of Dy6FeBi2 for Cu Ka, from a cell relaxed with PBE.
No peak broadening, texture or thermal motion is included.

Principal peaks in the range 5° ≤ 2θ ≤ 70°, by angle:
2θ (°)  intensity  index
21.29  115  0 0 1
30.28  874  1 1 1
32.76  1000  2 1 0
37.29  272  3 0 0
39.40  309  2 1 1
43.38  252  0 0 2
50.47  122  3 1 1
55.40  274  2 1 2
58.49  239  3 0 2
59.99  193  3 2 1
62.96  237  4 1 1
64.41  77  5 0 0

Atomic structure:
abc: 8.3542 8.3542 4.1704
angles: 90.00 90.00 120.00
Space group P-62m (No. 189)
One atom of each set of equivalent atoms:
1 Dy 0.0000 0.2291 0.0000
2 Dy 0.0000 0.6071 0.5000
3 Fe 0.0000 0.0000 0.5000
4 Bi 0.3333 0.6667 0.0000


# 2
Calculated powder diffractogram of Dy18MnFe2Bi6 for Cu Ka, from a cell relaxed with PBE.
No peak broadening, texture or thermal motion is included.

Principal peaks in the range 5° ≤ 2θ ≤ 70°, by angle:
2θ (°)  intensity  index
30.15  1000  1 0 2
32.65  615  1 6 2
32.73  401  0 15 1
32.85  197  0 3 3
37.20  103  0 18 0
37.36  205  0 9 3
39.27  224  1 15 1
39.38  112  1 3 3
42.96  222  2 0 0
55.04  187  2 15 1
55.13  101  2 3 3
58.22  114  2 9 3

Atomic structure:
abc: 4.210 43.501 8.327
angles: 90.00 90.00 90.00
Space group Amm2 (No. 38)
One atom of each set of equivalent atoms:
1 Dy 0.000 0.000 0.000
2 Dy 0.000 0.039 0.648
3 Dy 0.000 0.128 0.150
4 Dy 0.000 0.167 0.498
5 Dy 0.000 0.205 0.150
6 Dy 0.500 0.000 0.368
7 Dy 0.500 0.066 0.965
8 Dy 0.500 0.100 0.465
9 Dy 0.500 0.167 0.868
10 Dy 0.500 0.233 0.465
11 Mn 0.500 0.000 0.766
12 Fe 0.500 0.167 0.265
13 Bi 0.000 0.056 0.265
14 Bi 0.000 0.111 0.766
15 Bi 0.000 0.222 0.766


# 3
Calculated powder diffractogram of DyBi2IO4 for Cu Ka, from a cell relaxed with PBE.
No peak broadening, texture or thermal motion is included.

Principal peaks in the range 5° ≤ 2θ ≤ 70°, by angle:
2θ (°)  intensity  index
9.11  29  0 0 1
18.28  29  0 0 2
22.53  29  1 0 0
29.17  1000  1 0 2
32.08  320  1 1 0
37.04  110  0 0 4
46.00  173  2 0 0
49.80  276  1 1 4
55.40  339  2 1 2
60.48  112  2 0 4
61.99  118  1 0 6
67.09  55  2 2 0

Atomic structure:
abc: 3.946 3.946 9.707
angles: 90.00 90.00 90.00
Space group P4/mmm (No. 123)
One atom of each set of equivalent atoms:
1 Dy 0.000 0.000 0.000
2 Bi 0.500 0.500 0.257
3 I 0.000 0.000 0.500
4 O 0.000 0.500 0.142


# 4
Calculated powder diffractogram of KLaDyBiO6 for Cu Ka, from a cell relaxed with PBE.
No peak broadening, texture or thermal motion is included.

Principal peaks in the range 5° ≤ 2θ ≤ 70°, by angle:
2θ (°)  intensity  index
14.57  113  0 1 1
20.66  213  0 0 2
21.03  102  2 0 0
29.38  522  0 2 2
29.65  1000  2 0 2
42.04  284  0 0 4
42.81  134  4 0 0
52.28  457  2 4 2
52.78  225  4 2 2
61.56  167  4 0 4
69.10  96  0 6 2
69.24  92  2 0 6

Atomic structure:
abc: 8.449 8.595 8.600
angles: 90.00 90.00 90.00
Space group Pnnn (No. 48, origin choice 2)
One atom of each set of equivalent atoms:
1 K 0.250 0.250 0.250
2 K 0.250 0.750 0.750
3 La 0.250 0.250 0.750
4 La 0.250 0.750 0.250
5 Dy 0.000 0.000 0.000
6 Bi 0.000 0.000 0.500
7 O 0.032 0.058 0.745
8 O 0.041 0.744 0.991
9 O 0.244 0.025 0.462


# 5
Calculated powder diffractogram of KLaDyBiO6 for Cu Ka, from a cell relaxed with PBE.
No peak broadening, texture or thermal motion is included.

Principal peaks in the range 5° ≤ 2θ ≤ 70°, by angle:
2θ (°)  intensity  index
17.92  95  1 1 1
20.72  223  2 0 0
29.47  1000  2 2 0
34.70  57  3 1 1
42.16  298  4 0 0
46.15  26  3 3 1
47.42  105  4 2 0
52.27  416  4 2 2
55.71  22  5 1 1
61.15  189  4 4 0
65.30  51  6 0 0
69.32  182  6 2 0

Atomic structure:
abc: 8.574 8.574 8.574
angles: 90.00 90.00 90.00
Space group F-43m (No. 216)
One atom of each set of equivalent atoms:
1 K 0.000 0.000 0.000
2 La 0.000 0.000 0.500
3 Dy 0.250 0.250 0.250
4 Bi 0.250 0.250 0.750
5 O 0.005 0.250 0.750


# 6
Calculated powder diffractogram of Dy6MnBi2 for Cu Ka, from a cell relaxed with PBE.
No peak broadening, texture or thermal motion is included.

Principal peaks in the range 5° ≤ 2θ ≤ 70°, by angle:
2θ (°)  intensity  index
29.95  1000  1 1 1
32.48  568  2 0 1
32.91  555  2 1 0
37.46  308  3 0 0
39.21  331  2 1 1
42.19  224  0 0 2
50.41  122  3 1 1
54.51  270  2 1 2
57.68  178  3 0 2
58.76  93  4 1 0
60.01  222  3 2 1
63.00  210  4 1 1

Atomic structure:
abc: 8.3156 8.3156 4.2843
angles: 90.00 90.00 120.00
Space group P-62m (No. 189)
One atom of each set of equivalent atoms:
1 Dy 0.0000 0.2331 0.0000
2 Dy 0.0000 0.6059 0.5000
3 Mn 0.0000 0.0000 0.5000
4 Bi 0.3333 0.6667 0.0000


# 7
Calculated powder diffractogram of DyNiBi for Cu Ka, from a cell relaxed with PBE.
No peak broadening, texture or thermal motion is included.

Principal peaks in the range 5° ≤ 2θ ≤ 70°, by angle:
2θ (°)  intensity  index
23.74  84  1 1 1
27.48  614  2 0 0
39.25  1000  2 2 0
46.39  43  3 1 1
48.58  181  2 2 2
56.72  172  4 0 0
62.35  18  3 3 1
64.16  243  4 2 0

Atomic structure:
abc: 6.492 6.492 6.492
angles: 90.00 90.00 90.00
Space group F-43m (No. 216)
One atom of each set of equivalent atoms:
1 Dy 0.000 0.000 0.000
2 Ni 0.250 0.250 0.250
3 Bi 0.000 0.000 0.500


# 8
Calculated powder diffractogram of Dy4Ni3Bi8 for Cu Ka, from a cell relaxed with PBE.
No peak broadening, texture or thermal motion is included.

Principal peaks in the range 5° ≤ 2θ ≤ 70°, by angle:
2θ (°)  intensity  index
27.37  199  1 0 4
28.69  306  0 0 6
29.36  646  1 1 2
33.84  1000  1 1 4
34.93  235  1 0 6
39.61  604  2 0 0
48.17  168  1 1 8
49.64  283  2 0 6
53.01  142  1 0 10
57.27  209  2 2 0
65.65  143  3 1 2
68.19  403  3 1 4

Atomic structure:
abc: 4.550 4.550 18.672
angles: 90.00 90.00 90.00
Space group P-4m2 (No. 115)
One atom of each set of equivalent atoms:
1 Dy 0.000 0.500 0.114
2 Dy 0.000 0.500 0.614
3 Ni 0.000 0.000 0.000
4 Ni 0.000 0.000 0.500
5 Ni 0.500 0.500 0.000
6 Bi 0.000 0.000 0.250
7 Bi 0.000 0.500 0.430
8 Bi 0.000 0.500 0.926
9 Bi 0.500 0.500 0.250


# 9
Calculated powder diffractogram of Dy5Ni2Bi for Cu Ka, from a cell relaxed with PBE.
No peak broadening, texture or thermal motion is included.

Principal peaks in the range 5° ≤ 2θ ≤ 70°, by angle:
2θ (°)  intensity  index
26.83  367  2 1 1
31.08  577  1 1 4
32.77  1000  2 1 3
33.07  216  2 2 0
35.31  607  2 0 4
37.10  900  3 1 0
42.46  229  2 1 5
53.48  157  4 2 0
55.04  218  4 0 4
57.82  328  3 3 4
67.33  291  3 1 8
69.21  156  5 2 3

Atomic structure:
abc: 7.662 7.662 13.587
angles: 90.00 90.00 90.00
Space group I4/mcm (No. 140)
One atom of each set of equivalent atoms:
1 Dy 0.000 0.000 0.000
2 Dy 0.157 0.343 0.134
3 Ni 0.131 0.369 0.500
4 Bi 0.000 0.000 0.250


# 10
Calculated powder diffractogram of DyBi12O20 for Cu Ka, from a cell relaxed with PBE.
No peak broadening, texture or thermal motion is included.

Principal peaks in the range 5° ≤ 2θ ≤ 70°, by angle:
2θ (°)  intensity  index
24.34  165  2 2 0
27.26  1000  3 0 1
29.92  236  2 2 2
32.38  689  3 1 2
40.92  96  3 3 2
42.83  126  4 2 2
44.67  161  4 3 1
51.51  430  5 3 0
53.12  207  6 0 0
54.70  287  5 2 3
60.72  219  6 1 3
63.60  116  5 4 3

Atomic structure:
abc: 10.345 10.345 10.345
angles: 90.00 90.00 90.00
Space group I23 (No. 197)
One atom of each set of equivalent atoms:
1 Dy 0.000 0.000 0.000
2 Bi 0.005 0.318 0.825
3 O 0.010 0.256 0.368
4 O 0.123 0.123 0.123
5 O 0.170 0.170 0.830


# 11
Calculated powder diffractogram of Dy2BiO2 for Cu Ka, from a cell relaxed with PBE.
No peak broadening, texture or thermal motion is included.

Principal peaks in the range 5° ≤ 2θ ≤ 70°, by angle:
2θ (°)  intensity  index
23.81  15  1 0 1
26.26  12  0 0 4
30.31  1000  1 0 3
32.57  363  1 1 0
35.22  13  1 1 2
39.84  106  0 0 6
46.73  172  2 0 0
52.37  245  1 1 6
56.72  349  2 1 3
63.05  115  2 0 6
66.48  108  1 0 9
68.24  55  2 2 0

Atomic structure:
abc: 3.887 3.887 13.577
angles: 90.00 90.00 90.00
Space group I4/mmm (No. 139)
One atom of each set of equivalent atoms:
1 Dy 0.000 0.000 0.169
2 Bi 0.000 0.000 0.500
3 O 0.000 0.500 0.250


# 12
Calculated powder diffractogram of DyBi3Ru4O14 for Cu Ka, from a cell relaxed with PBE.
No peak broadening, texture or thermal motion is included.

Principal peaks in the range 5° ≤ 2θ ≤ 70°, by angle:
2θ (°)  intensity  index
14.71  58  0 0 3
14.84  66  1 0 1
28.63  61  0 2 1
29.67  336  0 0 6
29.94  1000  2 0 2
34.63  475  0 2 4
49.60  307  2 0 8
49.95  301  2 2 0
58.87  151  0 2 10
59.18  290  2 2 6
59.34  146  0 4 2
62.20  108  4 0 4

Atomic structure:
abc: 7.3032 7.3032 18.0684
angles: 90.00 90.00 120.00
Space group R-3m (No. 166, hexagonal axes)
One atom of each set of equivalent atoms:
1 Dy 0.0000 0.0000 0.0000
2 Bi 0.0000 0.5000 0.5000
3 Ru 0.0000 0.0000 0.5000
4 Ru 0.0000 0.5000 0.0000
5 O 0.0000 0.0000 0.1200
6 O 0.0609 0.5305 0.1100
7 O 0.0605 0.5303 0.3603